The following is a calculated powder XRD pattern of Cd5SeS4. It was derived from a PBE-relaxed structure, using Cu Kα (weighted mean of Kα1 and Kα2).
Lines closer than 0.1° are merged.

```
data_Cd5SeS4
_space_group_name_H-M_alt 'R 3 m'
_space_group_IT_number 160
_space_group_name_Hall 'R 3 -2"'
_cell_length_a 4.2264
_cell_length_b 4.2264
_cell_length_c 51.8418
_cell_angle_alpha 90.00
_cell_angle_beta 90.00
_cell_angle_gamma 120.00
loop_
_atom_site_label
_atom_site_type_symbol
_atom_site_fract_x
_atom_site_fract_y
_atom_site_fract_z
Cd1 Cd 0.0000 0.0000 0.0000
Cd2 Cd 0.0000 0.0000 0.1966
Cd3 Cd 0.0000 0.0000 0.3988
Cd4 Cd 0.0000 0.0000 0.5955
Cd5 Cd 0.0000 0.0000 0.7977
Se1 Se 0.0000 0.0000 0.6471
S1 S 0.0000 0.0000 0.0494
S2 S 0.0000 0.0000 0.2461
S3 S 0.0000 0.0000 0.4483
S4 S 0.0000 0.0000 0.8472
```

Peak list (8 most intense, 2θ = 10–80°, most intense first)
| two_theta | I/Imax | h k l |
| --- | --- | --- |
| 25.80 | 100 | 0 1 5 |
| 42.77 | 61 | 1 1 0 |
| 50.63 | 44 | 2 0 5 |
| 29.88 | 17 | 1 0 10 |
| 78.32 | 14 | 1 2 20 |
| 62.08 | 9 | 2 0 20 |
| 68.42 | 9 | 1 2 5 |
| 68.34 | 8 | 0 2 25 |

The following is a calculated powder XRD pattern of Ho6MgIn6. It was derived from a PBE-relaxed structure, using Cu Kα (weighted mean of Kα1 and Kα2).
Lines closer than 0.1° are merged.

```
data_Ho6MgIn6
_space_group_name_H-M_alt 'P 6/m m m'
_space_group_IT_number 191
_space_group_name_Hall '-P 6 2'
_cell_length_a 6.3079
_cell_length_b 6.3079
_cell_length_c 10.5163
_cell_angle_alpha 90.00
_cell_angle_beta 90.00
_cell_angle_gamma 120.00
loop_
_atom_site_label
_atom_site_type_symbol
_atom_site_fract_x
_atom_site_fract_y
_atom_site_fract_z
Ho1 Ho 0.0000 0.0000 0.1748
Ho2 Ho 0.3333 0.6667 0.0000
Ho3 Ho 0.3333 0.6667 0.5000
Mg1 Mg 0.0000 0.0000 0.5000
In1 In 0.0000 0.5000 0.2514
```

Peak list (8 most intense, 2θ = 10–80°, most intense first)
| two_theta | I/Imax | h k l |
| --- | --- | --- |
| 37.09 | 100 | 2 0 2 |
| 33.12 | 50 | 1 1 2 |
| 28.30 | 42 | 1 1 0 |
| 58.53 | 27 | 2 2 0 |
| 37.98 | 27 | 1 0 4 |
| 32.79 | 26 | 2 0 0 |
| 60.42 | 25 | 1 1 6 |
| 34.10 | 24 | 0 0 4 |

The following is a calculated powder XRD pattern of AlTeCl2. It was derived from a PBE-relaxed structure, using Cu Kα (weighted mean of Kα1 and Kα2).
Lines closer than 0.1° are merged.

```
data_AlTeCl2
_space_group_name_H-M_alt 'C m m m'
_space_group_IT_number 65
_space_group_name_Hall '-C 2 2'
_cell_length_a 5.7204
_cell_length_b 12.6643
_cell_length_c 3.2515
_cell_angle_alpha 90.00
_cell_angle_beta 90.00
_cell_angle_gamma 90.00
loop_
_atom_site_label
_atom_site_type_symbol
_atom_site_fract_x
_atom_site_fract_y
_atom_site_fract_z
Al1 Al 0.0000 0.0000 0.0000
Te1 Te 0.0000 0.5000 0.0000
Cl1 Cl 0.0000 0.1298 0.5000
```

Peak list (8 most intense, 2θ = 10–80°, most intense first)
| two_theta | I/Imax | h k l |
| --- | --- | --- |
| 13.99 | 100 | 0 2 0 |
| 32.45 | 51 | 1 1 1 |
| 26.24 | 49 | 1 3 0 |
| 31.27 | 33 | 2 0 0 |
| 39.74 | 33 | 0 4 1 |
| 30.92 | 33 | 0 2 1 |
| 51.41 | 30 | 2 4 1 |
| 44.55 | 23 | 2 2 1 |

The following is a calculated powder XRD pattern of CsGeTeP2O. It was derived from a PBE-relaxed structure, using Cu Kα (weighted mean of Kα1 and Kα2).
Lines closer than 0.1° are merged.

```
data_CsGeTeP2O
_space_group_name_H-M_alt 'P 1'
_space_group_IT_number 1
_space_group_name_Hall 'P 1'
_cell_length_a 5.0448
_cell_length_b 5.2516
_cell_length_c 7.5106
_cell_angle_alpha 94.16
_cell_angle_beta 96.20
_cell_angle_gamma 92.72
loop_
_atom_site_label
_atom_site_type_symbol
_atom_site_fract_x
_atom_site_fract_y
_atom_site_fract_z
Cs1 Cs 0.0000 0.0000 0.0000
Ge1 Ge 0.5821 0.3306 0.3702
Te1 Te 0.4355 0.0057 0.6102
P1 P 0.2167 0.6389 0.4085
P2 P 0.9852 0.4106 0.5775
O1 O 0.0022 0.4997 0.7783
```

Peak list (8 most intense, 2θ = 10–80°, most intense first)
| two_theta | I/Imax | h k l |
| --- | --- | --- |
| 26.50 | 100 | -1 1 1 |
| 22.48 | 81 | 1 0 1 |
| 16.95 | 54 | 0 1 0 |
| 20.23 | 52 | 1 0 -1 |
| 29.46 | 49 | 1 1 1 |
| 28.28 | 45 | 0 1 -2 |
| 32.64 | 43 | 1 1 -2 |
| 27.08 | 40 | 1 -1 1 |

The following is a calculated powder XRD pattern of Na2Hg2Pd5Au. It was derived from a PBE-relaxed structure, using Cu Kα (weighted mean of Kα1 and Kα2).
Lines closer than 0.1° are merged.

```
data_Na2Hg2Pd5Au
_space_group_name_H-M_alt 'P 4/m b m'
_space_group_IT_number 127
_space_group_name_Hall '-P 4 2ab'
_cell_length_a 9.5326
_cell_length_b 9.5326
_cell_length_c 4.2162
_cell_angle_alpha 90.00
_cell_angle_beta 90.00
_cell_angle_gamma 90.00
loop_
_atom_site_label
_atom_site_type_symbol
_atom_site_fract_x
_atom_site_fract_y
_atom_site_fract_z
Na1 Na 0.1704 0.3296 0.0000
Hg1 Hg 0.1297 0.6297 0.0000
Pd1 Pd 0.0000 0.5000 0.5000
Pd2 Pd 0.0642 0.8036 0.5000
Au1 Au 0.0000 0.0000 0.0000
```

Peak list (8 most intense, 2θ = 10–80°, most intense first)
| two_theta | I/Imax | h k l |
| --- | --- | --- |
| 36.65 | 100 | 3 1 1 |
| 20.84 | 53 | 2 1 0 |
| 40.26 | 36 | 3 2 1 |
| 42.90 | 24 | 0 0 2 |
| 18.62 | 16 | 2 0 0 |
| 34.06 | 15 | 2 2 1 |
| 74.49 | 13 | 3 1 3 |
| 48.15 | 12 | 2 1 2 |

The following is a calculated powder XRD pattern of Tl3Rh4. It was derived from a PBE-relaxed structure, using Cu Kα (weighted mean of Kα1 and Kα2).
Lines closer than 0.1° are merged.

```
data_Tl3Rh4
_space_group_name_H-M_alt 'P 6/m m m'
_space_group_IT_number 191
_space_group_name_Hall '-P 6 2'
_cell_length_a 5.9007
_cell_length_b 5.9007
_cell_length_c 4.6210
_cell_angle_alpha 90.00
_cell_angle_beta 90.00
_cell_angle_gamma 120.00
loop_
_atom_site_label
_atom_site_type_symbol
_atom_site_fract_x
_atom_site_fract_y
_atom_site_fract_z
Tl1 Tl 0.0000 0.5000 0.0000
Rh1 Rh 0.0000 0.0000 0.2520
Rh2 Rh 0.3333 0.6667 0.5000
```

Peak list (8 most intense, 2θ = 10–80°, most intense first)
| two_theta | I/Imax | h k l |
| --- | --- | --- |
| 40.34 | 100 | 2 0 1 |
| 35.12 | 73 | 2 0 0 |
| 36.12 | 47 | 1 1 1 |
| 42.96 | 45 | 1 0 2 |
| 19.21 | 31 | 0 0 1 |
| 62.70 | 29 | 2 1 2 |
| 63.01 | 29 | 2 2 0 |
| 71.52 | 19 | 2 0 3 |

The following is a calculated powder XRD pattern of YCuSe. It was derived from a PBE-relaxed structure, using Cu Kα (weighted mean of Kα1 and Kα2).
Lines closer than 0.1° are merged.

```
data_YCuSe
_space_group_name_H-M_alt 'R -3 m'
_space_group_IT_number 166
_space_group_name_Hall '-R 3 2"'
_cell_length_a 4.3003
_cell_length_b 4.3003
_cell_length_c 29.1540
_cell_angle_alpha 90.00
_cell_angle_beta 90.00
_cell_angle_gamma 120.00
loop_
_atom_site_label
_atom_site_type_symbol
_atom_site_fract_x
_atom_site_fract_y
_atom_site_fract_z
Y1 Y 0.0000 0.0000 0.0649
Cu1 Cu 0.0000 0.0000 0.3288
Se1 Se 0.0000 0.0000 0.2259
```

Peak list (8 most intense, 2θ = 10–80°, most intense first)
| two_theta | I/Imax | h k l |
| --- | --- | --- |
| 32.25 | 100 | 1 0 7 |
| 42.02 | 85 | 1 1 0 |
| 41.83 | 35 | 0 1 11 |
| 34.43 | 31 | 0 1 8 |
| 24.09 | 26 | 1 0 1 |
| 53.94 | 22 | 0 2 7 |
| 70.64 | 19 | 2 1 7 |
| 73.15 | 17 | 1 1 18 |

The following is a calculated powder XRD pattern of La2Dy3Tm4. It was derived from a PBE-relaxed structure, using Cu Kα (weighted mean of Kα1 and Kα2).
Lines closer than 0.1° are merged.

```
data_La2Dy3Tm4
_space_group_name_H-M_alt 'C 1 2/m 1'
_space_group_IT_number 12
_space_group_name_Hall '-C 2y'
_cell_length_a 15.1434
_cell_length_b 5.0510
_cell_length_c 7.9640
_cell_angle_alpha 90.00
_cell_angle_beta 108.38
_cell_angle_gamma 90.00
loop_
_atom_site_label
_atom_site_type_symbol
_atom_site_fract_x
_atom_site_fract_y
_atom_site_fract_z
La1 La 0.1650 0.0000 0.0000
Dy1 Dy 0.0000 0.5000 0.0000
Dy2 Dy 0.1098 0.5000 0.6626
Tm1 Tm 0.0571 0.0000 0.3399
Tm2 Tm 0.2222 0.5000 0.3389
```

Peak list (8 most intense, 2θ = 10–80°, most intense first)
| two_theta | I/Imax | h k l |
| --- | --- | --- |
| 30.69 | 100 | 3 1 1 |
| 35.58 | 51 | 0 2 0 |
| 51.19 | 30 | 6 2 -1 |
| 60.86 | 29 | 3 3 1 |
| 60.96 | 14 | 3 1 4 |
| 63.91 | 12 | 6 2 2 |
| 51.28 | 6 | 6 0 -4 |
| 75.28 | 4 | 0 4 0 |

Please write out number 3 again, unchanged.
The following is a calculated powder XRD pattern of AlTeCl2. It was derived from a PBE-relaxed structure, using Cu Kα (weighted mean of Kα1 and Kα2).
Lines closer than 0.1° are merged.

```
data_AlTeCl2
_space_group_name_H-M_alt 'C m m m'
_space_group_IT_number 65
_space_group_name_Hall '-C 2 2'
_cell_length_a 5.7204
_cell_length_b 12.6643
_cell_length_c 3.2515
_cell_angle_alpha 90.00
_cell_angle_beta 90.00
_cell_angle_gamma 90.00
loop_
_atom_site_label
_atom_site_type_symbol
_atom_site_fract_x
_atom_site_fract_y
_atom_site_fract_z
Al1 Al 0.0000 0.0000 0.0000
Te1 Te 0.0000 0.5000 0.0000
Cl1 Cl 0.0000 0.1298 0.5000
```

Peak list (8 most intense, 2θ = 10–80°, most intense first)
| two_theta | I/Imax | h k l |
| --- | --- | --- |
| 13.99 | 100 | 0 2 0 |
| 32.45 | 51 | 1 1 1 |
| 26.24 | 49 | 1 3 0 |
| 31.27 | 33 | 2 0 0 |
| 39.74 | 33 | 0 4 1 |
| 30.92 | 33 | 0 2 1 |
| 51.41 | 30 | 2 4 1 |
| 44.55 | 23 | 2 2 1 |

> What is the formula in the seventh record?

YCuSe